Computed powder diffraction line list of Dy12Co6Si for Cu Kα, 1.54184 Å, from a PBE-relaxed structure.

Structure:
abc: 8.2918 8.2918 8.2918
angles: 109.47 109.47 109.47
Atoms (fractional coordinates):
Dy  0.1065  0.3001  0.8065
Dy  0.1935  0.4936  0.3001
Dy  0.1935  0.8935  0.6999
Dy  0.3001  0.1935  0.4936
Dy  0.3001  0.8065  0.1065
Dy  0.4936  0.3001  0.1935
Dy  0.5064  0.6999  0.8065
Dy  0.6999  0.1935  0.8935
Dy  0.6999  0.8065  0.5064
Dy  0.8065  0.1065  0.3001
Dy  0.8065  0.5064  0.6999
Dy  0.8935  0.6999  0.1935
Co  0.1140  0.5000  0.6140
Co  0.3860  0.8860  0.5000
Co  0.5000  0.3860  0.8860
Co  0.5000  0.6140  0.1140
Co  0.6140  0.1140  0.5000
Co  0.8860  0.5000  0.3860
Si  0.0000  0.0000  0.0000

Largest 8 diffraction maxima, in order of falling intensity, 5° ≤ 2θ ≤ 70°:
Position (°2θ)  d_spacing  Rel. int.
35.07  2.559  100.0
32.39  2.764  53.6
29.50  3.028  44.5
56.00  1.642  40.5
59.52  1.553  37.4
48.48  1.878  20.9
37.58  2.394  20.3
69.41  1.354  19.9



Computed powder diffraction line list of Cs4NpO4 for Cu Kα, 1.54184 Å, from a PBE-relaxed structure.

Structure:
abc: 8.1899 8.1899 8.1899
angles: 126.84 126.84 78.52
Atoms (fractional coordinates):
Cs  0.0000  0.5000  0.5000
Cs  0.2080  0.2080  0.0000
Cs  0.5000  0.0000  0.5000
Cs  0.7920  0.7920  0.0000
Np  0.5000  0.5000  0.0000
O  0.2406  0.5561  0.0000
O  0.4439  0.4439  0.6845
O  0.5561  0.2406  0.0000
O  0.7594  0.7594  0.3155

Largest 8 diffraction maxima, in order of falling intensity, 5° ≤ 2θ ≤ 70°:
Position (°2θ)  d_spacing  Rel. int.
24.29  3.664  100.0
34.62  2.591  61.7
13.96  6.344  48.5
37.51  2.398  38.3
28.13  3.172  31.3
49.78  1.832  29.0
56.13  1.639  28.3
58.16  1.586  23.3



Computed powder diffraction line list of U2SbAu2Se2 for Cu Kα, 1.54184 Å, from a PBE-relaxed structure.

Structure:
abc: 5.0884 5.0884 8.0478
angles: 90.00 90.00 120.00
Atoms (fractional coordinates):
U  0.3333  0.6667  0.2395
U  0.6667  0.3333  0.7605
Sb  0.0000  0.0000  0.5000
Au  0.0000  0.0000  0.1631
Au  0.0000  0.0000  0.8369
Se  0.3333  0.6667  0.8595
Se  0.6667  0.3333  0.1405

Largest 8 diffraction maxima, in order of falling intensity, 5° ≤ 2θ ≤ 70°:
Position (°2θ)  d_spacing  Rel. int.
35.28  2.544  100.0
39.32  2.291  42.6
23.01  3.865  36.3
49.37  1.846  33.7
42.02  2.150  28.8
22.09  4.024  24.3
66.02  1.415  19.1
63.31  1.469  18.7



Computed powder diffraction line list of La3ZnPd12 for Cu Kα, 1.54184 Å, from a PBE-relaxed structure.

Structure:
abc: 4.2124 4.2124 16.1963
angles: 90.00 90.00 90.00
Atoms (fractional coordinates):
La  0.0000  0.0000  0.0000
La  0.0000  0.0000  0.2637
La  0.0000  0.0000  0.7363
Zn  0.0000  0.0000  0.5000
Pd  0.0000  0.5000  0.1304
Pd  0.0000  0.5000  0.3925
Pd  0.0000  0.5000  0.6075
Pd  0.0000  0.5000  0.8696
Pd  0.5000  0.0000  0.1304
Pd  0.5000  0.0000  0.3925
Pd  0.5000  0.0000  0.6075
Pd  0.5000  0.0000  0.8696
Pd  0.5000  0.5000  0.0000
Pd  0.5000  0.5000  0.2607
Pd  0.5000  0.5000  0.5000
Pd  0.5000  0.5000  0.7393

Largest 8 diffraction maxima, in order of falling intensity, 5° ≤ 2θ ≤ 70°:
Position (°2θ)  d_spacing  Rel. int.
37.48  2.399  100.0
42.94  2.106  36.8
63.76  1.460  16.3
44.76  2.025  12.1
62.35  1.489  11.9
34.39  2.608  4.5
59.33  1.558  4.1
38.92  2.314  3.6



Computed powder diffraction line list of KCuHg2 for Cu Kα, 1.54184 Å, from a PBE-relaxed structure.

Structure:
abc: 3.6308 3.8251 8.0834
angles: 90.00 90.00 90.00
Atoms (fractional coordinates):
K  0.0000  0.0000  0.0000
Cu  0.5000  0.5000  0.3647
Hg  0.0000  0.0000  0.4076
Hg  0.5000  0.5000  0.7043

Largest 8 diffraction maxima, in order of falling intensity, 5° ≤ 2θ ≤ 70°:
Position (°2θ)  d_spacing  Rel. int.
10.95  8.083  100.0
33.20  2.698  74.5
34.05  2.633  73.9
48.33  1.883  45.6
32.22  2.778  45.3
25.77  3.458  35.7
26.92  3.312  32.1
59.22  1.560  28.6



Computed powder diffraction line list of CaAc2La for Cu Kα, 1.54184 Å, from a PBE-relaxed structure.

Structure:
abc: 5.5432 5.5432 5.4210
angles: 90.00 90.00 90.00
Atoms (fractional coordinates):
Ca  0.0000  0.0000  0.0000
Ac  0.0000  0.5000  0.5000
Ac  0.5000  0.0000  0.5000
La  0.5000  0.5000  0.0000

Largest 8 diffraction maxima, in order of falling intensity, 5° ≤ 2θ ≤ 70°:
Position (°2θ)  d_spacing  Rel. int.
28.09  3.176  100.0
32.30  2.772  34.9
55.06  1.668  31.2
46.88  1.938  25.0
33.05  2.710  16.4
16.35  5.421  15.0
56.04  1.641  14.8
22.69  3.920  14.4



Computed powder diffraction line list of Ta3Mo8W for Cu Kα, 1.54184 Å, from a PBE-relaxed structure.

Structure:
abc: 5.3095 6.4059 6.9650
angles: 103.13 110.30 107.75
Atoms (fractional coordinates):
Ta  0.0000  0.0000  0.0000
Ta  0.0033  0.6591  0.6623
Ta  0.4963  0.7487  0.4984
Mo  0.9998  0.4975  0.0006
Mo  0.0011  0.1660  0.6653
Mo  0.4963  0.2456  0.4960
Mo  0.5005  0.5782  0.8322
Mo  0.5024  0.4157  0.1652
Mo  0.5024  0.9149  0.1632
Mo  0.9972  0.3287  0.3298
Mo  0.9972  0.8318  0.3317
W  0.4984  0.0868  0.8350

Largest 8 diffraction maxima, in order of falling intensity, 5° ≤ 2θ ≤ 70°:
Position (°2θ)  d_spacing  Rel. int.
39.88  2.261  100.0
39.75  2.268  20.4
57.55  1.601  6.7
57.62  1.600  6.7
57.73  1.597  6.7
16.98  5.220  3.5
26.08  3.417  2.9
14.61  6.062  1.7



Computed powder diffraction line list of ZnRu for Cu Kα, 1.54184 Å, from a PBE-relaxed structure.

Structure:
abc: 2.8450 2.8450 6.9400
angles: 90.00 90.00 90.00
Atoms (fractional coordinates):
Zn  0.2500  0.2500  0.1284
Zn  0.7500  0.7500  0.8716
Ru  0.2500  0.2500  0.6194
Ru  0.7500  0.7500  0.3806

Largest 8 diffraction maxima, in order of falling intensity, 5° ≤ 2θ ≤ 70°:
Position (°2θ)  d_spacing  Rel. int.
41.02  2.200  100.0
45.07  2.012  38.1
65.63  1.423  11.9
52.76  1.735  11.6
12.76  6.940  10.8
50.87  1.795  1.9
34.06  2.632  1.9
47.03  1.932  1.5



Computed powder diffraction line list of Tm2Ag3Sn3 for Cu Kα, 1.54184 Å, from a PBE-relaxed structure.

Structure:
abc: 4.5135 4.6472 8.5885
angles: 90.00 90.00 90.00
Atoms (fractional coordinates):
Tm  0.0000  0.0000  0.2504
Tm  0.0000  0.0000  0.7496
Ag  0.0000  0.5000  0.0000
Ag  0.5000  0.5000  0.2370
Ag  0.5000  0.5000  0.7630
Sn  0.0000  0.5000  0.5000
Sn  0.5000  0.0000  0.0000
Sn  0.5000  0.0000  0.5000

Largest 8 diffraction maxima, in order of falling intensity, 5° ≤ 2θ ≤ 70°:
Position (°2θ)  d_spacing  Rel. int.
34.70  2.585  100.0
38.75  2.324  18.6
39.95  2.257  17.1
42.08  2.147  14.5
67.55  1.387  14.4
69.18  1.358  13.4
56.88  1.619  12.1
58.53  1.577  10.8



Computed powder diffraction line list of TaAlIrOs for Cu Kα, 1.54184 Å, from a PBE-relaxed structure.

Structure:
abc: 4.5533 4.5533 4.5533
angles: 125.01 125.01 81.52
Atoms (fractional coordinates):
Ta  0.0000  0.0000  0.0000
Al  0.5000  0.5000  0.0000
Ir  0.7500  0.2500  0.5000
Os  0.2500  0.7500  0.5000

Largest 8 diffraction maxima, in order of falling intensity, 5° ≤ 2θ ≤ 70°:
Position (°2θ)  d_spacing  Rel. int.
40.04  2.252  100.0
43.03  2.102  40.9
24.80  3.590  23.3
62.49  1.486  13.7
53.11  1.725  11.1
30.06  2.973  9.1
50.30  1.814  7.2
25.83  3.449  6.6